(1)
Structure and simulated X-ray powder pattern of CsErSiS4 (a structure optimized by DFT (PBE); Cu Kα (λ = 1.5418 Å)).
Lines closer than 0.1° are merged.

Crystal structure
```
data_CsErSiS4
_space_group_name_H-M_alt 'P 21 21 21'
_space_group_IT_number 19
_cell_length_a 6.388
_cell_length_b 6.715
_cell_length_c 17.964
_cell_angle_alpha 90.00
_cell_angle_beta 90.00
_cell_angle_gamma 90.00
loop_
_space_group_symop_operation_xyz
'x,y,z'
'-x+1/2,-y,z+1/2'
'x+1/2,-y+1/2,-z'
'-x,y+1/2,-z+1/2'
loop_
_atom_site_label
_atom_site_type_symbol
_atom_site_fract_x
_atom_site_fract_y
_atom_site_fract_z
_atom_site_occupancy
Cs1 Cs 0.013 0.006 0.468 1
Er1 Er 0.209 0.023 0.728 1
Si1 Si 0.209 0.517 0.330 1
S1 S 0.055 0.012 0.099 1
S2 S 0.066 0.253 0.851 1
S3 S 0.102 0.581 0.220 1
S4 S 0.104 0.747 0.840 1
```

Largest 10 diffraction maxima, by angle, 5 to 70 degrees two-theta:
- 2θ 9.8, d 8.982, rel. 69, (0 0 2)
- 2θ 19.2, d 4.628, rel. 49, (1 1 0)
- 2θ 19.8, d 4.485, rel. 100, (0 0 4)
- 2θ 21.6, d 4.114, rel. 47, (1 1 2)
- 2θ 23.8, d 3.733, rel. 46, (0 1 4)
- 2θ 26.5, d 3.358, rel. 58, (0 2 0)
- 2θ 29.7, d 3.010, rel. 65, (2 0 2)
- 2θ 33.3, d 2.689, rel. 44, (0 2 4)
- 2θ 40.2, d 2.241, rel. 66, (2 2 2)
- 2θ 43.6, d 2.077, rel. 42, (2 1 6)


(2)
Structure and simulated X-ray powder pattern of Ba3Cu2Cl2O4 (a structure optimized by DFT (PBE); Cu Kα (λ = 1.5418 Å)).
Lines closer than 0.1° are merged.

Crystal structure
```
data_Ba3Cu2Cl2O4
_space_group_name_H-M_alt 'P m m a'
_space_group_IT_number 51
_cell_length_a 6.656
_cell_length_b 6.049
_cell_length_c 10.746
_cell_angle_alpha 90.00
_cell_angle_beta 90.00
_cell_angle_gamma 90.00
loop_
_space_group_symop_operation_xyz
'x,y,z'
'-x,-y,-z'
'-x+1/2,-y,z'
'x+1/2,y,-z'
'x+1/2,-y,-z'
'-x+1/2,y,z'
'-x,y,-z'
'x,-y,z'
loop_
_atom_site_label
_atom_site_type_symbol
_atom_site_fract_x
_atom_site_fract_y
_atom_site_fract_z
_atom_site_occupancy
Ba1 Ba 0.250 0.000 0.052 1
Ba2 Ba 0.250 0.000 0.703 1
Ba3 Ba 0.250 0.500 0.288 1
Cu1 Cu 0.000 0.500 0.000 1
Cu2 Cu 0.250 0.500 0.833 1
Cl1 Cl 0.250 0.000 0.383 1
Cl2 Cl 0.250 0.500 0.586 1
O1 O 0.031 0.278 0.861 1
```

Largest 10 diffraction maxima, by angle, 5 to 70 degrees two-theta:
- 2θ 8.2, d 10.746, rel. 93, (0 0 1)
- 2θ 25.9, d 3.439, rel. 57, (1 1 2)
- 2θ 26.8, d 3.328, rel. 51, (2 0 0)
- 2θ 29.5, d 3.024, rel. 71, (0 2 0)
- 2θ 32.0, d 2.797, rel. 100, (1 1 3)
- 2θ 35.0, d 2.563, rel. 25, (2 1 2)
- 2θ 39.0, d 2.311, rel. 26, (0 2 3)
- 2θ 40.3, d 2.238, rel. 56, (2 2 0)
- 2θ 50.7, d 1.801, rel. 26, (3 1 3)
- 2θ 55.2, d 1.663, rel. 45, (4 0 0)


(3)
Structure and simulated X-ray powder pattern of Ca11In9Au4 (a structure optimized by DFT (PBE); Cu Kα (λ = 1.5418 Å)).
Lines closer than 0.1° are merged.

Crystal structure
```
data_Ca11In9Au4
_space_group_name_H-M_alt 'C m m m'
_space_group_IT_number 65
_space_group_name_Hall '-C 2 2'
_cell_length_a 15.093
_cell_length_b 22.636
_cell_length_c 3.775
_cell_angle_alpha 90.00
_cell_angle_beta 90.00
_cell_angle_gamma 90.00
loop_
_atom_site_label
_atom_site_type_symbol
_atom_site_fract_x
_atom_site_fract_y
_atom_site_fract_z
_atom_site_occupancy
Ca1 Ca 0.000 0.000 0.000 1
Ca2 Ca 0.000 0.162 0.000 1
Ca3 Ca 0.000 0.370 0.000 1
Ca4 Ca 0.197 0.500 0.000 1
Ca5 Ca 0.239 0.173 0.000 1
In1 In 0.000 0.500 0.500 1
In2 In 0.103 0.264 0.500 1
In3 In 0.145 0.071 0.500 1
Au1 Au 0.152 0.399 0.500 1
```

Largest 10 diffraction maxima, by angle, 5 to 70 degrees two-theta:
- 2θ 7.0, d 12.558, rel. 23, (1 1 0)
- 2θ 23.6, d 3.774, rel. 51, (0 0 1)
- 2θ 31.9, d 2.803, rel. 13, (3 3 1)
- 2θ 33.6, d 2.668, rel. 100, (0 6 1)
- 2θ 35.7, d 2.513, rel. 18, (6 0 0)
- 2θ 36.2, d 2.481, rel. 11, (1 9 0)
- 2θ 41.4, d 2.179, rel. 13, (4 6 1)
- 2θ 48.2, d 1.887, rel. 16, (0 0 2)
- 2θ 60.0, d 1.541, rel. 14, (4 6 2)
- 2θ 61.8, d 1.502, rel. 10, (1 9 2)


(4)
Structure and simulated X-ray powder pattern of Te2Mo2WSe2S2 (a structure optimized by DFT (PBE); Cu Kα (λ = 1.5418 Å)).
Lines closer than 0.1° are merged.

Crystal structure
```
data_Te2Mo2WSe2S2
_space_group_name_H-M_alt 'P 3 m 1'
_space_group_IT_number 156
_cell_length_a 3.3476
_cell_length_b 3.3476
_cell_length_c 28.2160
_cell_angle_alpha 90.00
_cell_angle_beta 90.00
_cell_angle_gamma 120.00
loop_
_space_group_symop_operation_xyz
'x,y,z'
'-y,x-y,z'
'-x+y,-x,z'
'-y,-x,z'
'-x+y,y,z'
'x,x-y,z'
loop_
_atom_site_label
_atom_site_type_symbol
_atom_site_fract_x
_atom_site_fract_y
_atom_site_fract_z
_atom_site_occupancy
Te1 Te 0.0000 0.0000 0.0000 1
Te2 Te 0.0000 0.0000 0.1345 1
Mo1 Mo 0.0000 0.0000 0.8104 1
Mo2 Mo 0.3333 0.6667 0.0673 1
W1 W 0.0000 0.0000 0.3335 1
Se1 Se 0.3333 0.6667 0.2742 1
Se2 Se 0.3333 0.6667 0.3928 1
S1 S 0.3333 0.6667 0.7567 1
S2 S 0.3333 0.6667 0.8641 1
```

Largest 10 diffraction maxima, by angle, 5 to 70 degrees two-theta:
- 2θ 6.3, d 14.108, rel. 98, (0 0 2)
- 2θ 9.4, d 9.405, rel. 95, (0 0 3)
- 2θ 12.5, d 7.054, rel. 84, (0 0 4)
- 2θ 30.8, d 2.899, rel. 48, (1 0 0)
- 2θ 34.8, d 2.579, rel. 35, (0 1 5)
- 2θ 36.4, d 2.468, rel. 100, (1 0 6)
- 2θ 42.5, d 2.129, rel. 56, (0 1 9)
- 2θ 44.8, d 2.022, rel. 38, (1 0 10)
- 2θ 54.8, d 1.674, rel. 31, (1 1 0)
- 2θ 58.5, d 1.578, rel. 18, (1 0 15)